Ni3BO5: simulated XRD peak list (Cu Kα), based on a crystal structure in Alexandria, relaxed with PBE+U.
Peak positions follow from Bragg's law for the DFT cell and can differ from measured ones.

Structural model:
a = 9.1358 Å, b = 12.3178 Å, c = 2.9997 Å
α = 90.00°, β = 90.00°, γ = 90.00°
Fractional positions:
Ni 0.0000 0.0000 0.0000
Ni 0.0003 0.2195 0.5000
Ni 0.0000 0.5000 0.5000
Ni 0.9997 0.7805 0.5000
Ni 0.2410 0.3862 0.0000
Ni 0.2590 0.8862 0.0000
Ni 0.5000 0.0000 0.5000
Ni 0.5003 0.2805 0.5000
Ni 0.5000 0.5000 0.0000
Ni 0.4997 0.7195 0.5000
Ni 0.7410 0.1138 0.0000
Ni 0.7590 0.6138 0.0000
B 0.2240 0.6391 0.0000
B 0.2760 0.1391 0.0000
B 0.7240 0.8609 0.0000
B 0.7760 0.3609 0.0000
O 0.1091 0.3572 0.5000
O 0.1149 0.9215 0.5000
O 0.1240 0.1407 0.0000
O 0.1483 0.5419 0.0000
O 0.1483 0.7366 0.0000
O 0.3517 0.0419 0.0000
O 0.3517 0.2366 0.0000
O 0.3760 0.6407 0.0000
O 0.3851 0.4215 0.5000
O 0.3909 0.8572 0.5000
O 0.6091 0.1428 0.5000
O 0.6149 0.5785 0.5000
O 0.6240 0.3593 0.0000
O 0.6483 0.7634 0.0000
O 0.6483 0.9581 0.0000
O 0.8517 0.2634 0.0000
O 0.8517 0.4581 0.0000
O 0.8760 0.8593 0.0000
O 0.8851 0.0785 0.5000
O 0.8909 0.6428 0.5000

Top 6 peaks for 10° ≤ 2θ ≤ 80°, most intense first:
index  Position (°2θ)  d (Å)  I_rel
2 4 0  35.1  2.553  100
2 0 1  35.8  2.507  75
1 2 0  17.4  5.107  58
3 3 1  48.0  1.896  36
1 7 1  62.0  1.497  32
1 3 1  38.4  2.341  31